This entry pairs a crystal structure of CaMgCoHNF with its simulated XRD peak list. Radiation: Cu Kα. Structure: a DFT-relaxed cell (GGA+U, Alexandria).

Cell and atoms:
Lattice parameters (Å, degrees): 7.318 7.318 7.318 154.52 154.51 36.35
Sites, in units of the cell vectors:
Ca: 0.000 0.000 0.000
Mg: 0.688 0.688 0.000
Co: 0.311 0.311 0.000
H: 0.878 0.378 0.500
N: 0.179 0.179 0.000
F: 0.536 0.536 0.000

Largest 12 diffraction maxima, most intense first, 2θ from 10° to 90°:
d/Å  I_rel
2.649  100.0
2.282  85.1
3.144  29.6
1.626  27.8
1.614  26.2
1.378  24.6
2.318  23.3
3.476  23.0
1.692  17.1
1.908  16.5
2.107  14.8
1.324  12.8